No. 1
This entry pairs a crystal structure of Ac6Tl3N2 with its theoretical XRD peak list. Radiation: Cu Ka. Structure: a PBE-relaxed structure.

Structure:
a = 5.238 Å, b = 5.238 Å, c = 27.015 Å
α = 90.00°, β = 90.00°, γ = 90.00°
Space group I4/mmm (No. 139)
Unique sites:
Ac: 0.000 0.000 0.197 [4 per cell]
Ac: 0.000 0.500 0.086 [8 per cell]
Tl: 0.000 0.000 0.326 [4 per cell]
Tl: 0.000 0.000 0.500 [2 per cell]
N: 0.000 0.000 0.108 [4 per cell]

Top 10 peaks for 10° ≤ 2θ ≤ 90°, low angle first:
24.93 deg, I = 41.0, (1 1 2)
27.46 deg, I = 21.9, (1 1 4)
28.73 deg, I = 16.3, (1 0 7)
31.27 deg, I = 100.0, (1 1 6)
33.16 deg, I = 12.1, (0 0 10)
34.24 deg, I = 56.8, (2 0 0)
48.41 deg, I = 17.1, (2 0 10)
49.20 deg, I = 20.8, (2 2 0)
53.69 deg, I = 10.3, (2 0 12)
59.46 deg, I = 37.9, (3 1 6)

***

No. 2
This entry pairs a crystal structure of Ba2BiRuO6 with its theoretical XRD peak list. Radiation: Cu Ka. Structure: a PBE-relaxed structure.

Structure:
a = 6.1293 Å, b = 6.1293 Å, c = 20.5695 Å
α = 90.00°, β = 90.00°, γ = 120.00°
Space group P6_3/mmc (No. 194)
Unique sites:
Ba: 0.0000 0.0000 0.0000 [2 per cell]
Ba: 0.3333 0.6667 0.1449 [4 per cell]
Ba: 0.3333 0.6667 0.7500 [2 per cell]
Bi: 0.3333 0.6667 0.5612 [4 per cell]
Ru: 0.0000 0.0000 0.1835 [4 per cell]
O: 0.0000 0.5000 0.0000 [6 per cell]
O: 0.1504 0.3007 0.2500 [6 per cell]
O: 0.1545 0.3089 0.6354 [12 per cell]

Top 10 peaks for 10° ≤ 2θ ≤ 90°, low angle first:
27.43 deg, I = 81.6, (1 0 5)
29.14 deg, I = 100.0, (1 1 0)
31.05 deg, I = 22.3, (1 0 6)
40.45 deg, I = 44.1, (2 0 5)
43.10 deg, I = 15.2, (2 0 6)
47.40 deg, I = 13.2, (1 0 10)
50.62 deg, I = 29.5, (2 1 5)
51.66 deg, I = 20.6, (3 0 0)
60.41 deg, I = 18.3, (2 2 0)
67.58 deg, I = 13.9, (3 1 5)

***

No. 3
This entry pairs a crystal structure of Pr2Ag3Hg4 with its theoretical XRD peak list. Radiation: Cu Ka. Structure: a PBE-relaxed structure.

Structure:
a = 5.120 Å, b = 5.127 Å, c = 9.418 Å
α = 84.74°, β = 84.62°, γ = 60.33°
Space group P-1 (No. 2)
Unique sites:
Pr: 0.143 0.145 0.236 [2 per cell]
Ag: 0.204 0.201 0.580 [2 per cell]
Ag: 0.500 0.500 0.000 [1 per cell]
Hg: 0.177 0.176 0.900 [2 per cell]
Hg: 0.462 0.466 0.350 [2 per cell]

Top 10 peaks for 10° ≤ 2θ ≤ 90°, low angle first:
33.36 deg, I = 59.5, (1 1 3)
34.85 deg, I = 62.6, (1 -1 0)
35.19 deg, I = 94.5, (1 2 0)
35.61 deg, I = 17.5, (2 1 1)
36.05 deg, I = 100.0, (0 1 -3)
49.01 deg, I = 40.5, (0 2 3)
60.21 deg, I = 16.1, (2 3 3)
61.95 deg, I = 16.5, (1 0 6)
63.35 deg, I = 13.0, (-2 1 3)
65.33 deg, I = 13.2, (1 3 -3)

***

No. 4
This entry pairs a crystal structure of Dy3NbO7 with its theoretical XRD peak list. Radiation: Cu Ka. Structure: a PBE-relaxed structure.

Structure:
a = 7.615 Å, b = 10.572 Å, c = 7.481 Å
α = 90.00°, β = 90.00°, γ = 90.00°
Space group C222_1 (No. 20)
Unique sites:
Dy: 0.041 0.000 0.000 [4 per cell]
Dy: 0.232 0.268 0.761 [8 per cell]
Nb: 0.003 0.500 0.000 [4 per cell]
O: 0.000 0.129 0.250 [4 per cell]
O: 0.000 0.140 0.750 [4 per cell]
O: 0.000 0.428 0.750 [4 per cell]
O: 0.176 0.371 0.049 [8 per cell]
O: 0.208 0.376 0.478 [8 per cell]

Top 10 peaks for 10° ≤ 2θ ≤ 90°, low angle first:
28.90 deg, I = 99.0, (2 2 0)
29.25 deg, I = 100.0, (0 2 2)
33.59 deg, I = 45.0, (2 0 2)
33.92 deg, I = 21.0, (0 4 0)
47.77 deg, I = 11.1, (4 0 0)
48.48 deg, I = 54.2, (2 4 2)
48.69 deg, I = 16.3, (0 0 4)
57.01 deg, I = 20.8, (4 2 2)
57.62 deg, I = 37.5, (2 2 4)
57.85 deg, I = 12.0, (0 6 2)

***

No. 5
This entry pairs a crystal structure of CePr7Pb4 with its theoretical XRD peak list. Radiation: Cu Ka. Structure: a PBE-relaxed structure.

Structure:
a = 15.558 Å, b = 5.695 Å, c = 11.747 Å
α = 90.00°, β = 126.76°, γ = 90.00°
Space group C2/m (No. 12)
Unique sites:
Ce: 0.000 0.000 0.000 [2 per cell]
Pr: 0.000 0.500 0.000 [2 per cell]
Pr: 0.077 0.000 0.328 [4 per cell]
Pr: 0.148 0.500 0.573 [4 per cell]
Pr: 0.214 0.000 0.870 [4 per cell]
Pb: 0.077 0.500 0.781 [4 per cell]
Pb: 0.209 0.500 0.336 [4 per cell]

Top 10 peaks for 10° ≤ 2θ ≤ 90°, low angle first:
23.44 deg, I = 27.1, (3 1 -1)
25.53 deg, I = 31.0, (4 0 -3)
31.42 deg, I = 76.7, (0 2 0)
31.60 deg, I = 60.8, (2 0 -4)
32.36 deg, I = 100.0, (3 1 1)
33.57 deg, I = 85.4, (5 1 -3)
45.16 deg, I = 49.8, (2 2 -4)
49.40 deg, I = 20.9, (8 0 -2)
58.31 deg, I = 24.2, (6 0 2)
59.73 deg, I = 23.7, (8 2 -2)

***

No. 6
This entry pairs a crystal structure of Pm8DyTm3 with its theoretical XRD peak list. Radiation: Cu Ka. Structure: a PBE-relaxed structure.

Structure:
a = 11.554 Å, b = 6.916 Å, c = 10.183 Å
α = 90.00°, β = 90.11°, γ = 90.00°
Space group C2 (No. 5)
Unique sites:
Pm: 0.000 0.000 0.188 [4 per cell]
Pm: 0.000 0.500 0.188 [4 per cell]
Pm: 0.249 0.250 0.311 [4 per cell]
Pm: 0.250 0.250 0.689 [4 per cell]
Dy: 0.000 0.749 0.500 [2 per cell]
Tm: 0.000 0.249 0.500 [2 per cell]
Tm: 0.250 0.001 0.000 [4 per cell]

Top 10 peaks for 10° ≤ 2θ ≤ 90°, low angle first:
27.23 deg, I = 51.9, (0 2 1)
30.55 deg, I = 95.8, (2 0 3)
30.96 deg, I = 51.7, (4 0 0)
35.00 deg, I = 100.0, (2 2 2)
41.70 deg, I = 33.3, (4 2 -1)
52.12 deg, I = 22.2, (0 2 5)
57.71 deg, I = 23.8, (6 2 2)
61.86 deg, I = 26.5, (4 2 5)
62.61 deg, I = 13.9, (4 4 0)
82.46 deg, I = 12.8, (2 2 8)

***

No. 7
This entry pairs a crystal structure of NbSiWN2 with its theoretical XRD peak list. Radiation: Cu Ka. Structure: a PBE-relaxed structure.

Structure:
a = 3.657 Å, b = 3.657 Å, c = 5.183 Å
α = 90.00°, β = 90.00°, γ = 90.00°
Space group P4/mmm (No. 123)
Unique sites:
Nb: 0.000 0.000 0.000 [1 per cell]
Si: 0.000 0.000 0.500 [1 per cell]
W: 0.500 0.500 0.000 [1 per cell]
N: 0.000 0.500 0.500 [2 per cell]

Top 10 peaks for 10° ≤ 2θ ≤ 90°, low angle first:
17.11 deg, I = 98.6, (0 0 1)
29.90 deg, I = 28.7, (1 0 1)
34.66 deg, I = 100.0, (0 0 2)
38.93 deg, I = 82.5, (1 1 1)
49.84 deg, I = 71.6, (2 0 0)
53.12 deg, I = 22.9, (2 0 1)
62.13 deg, I = 29.3, (2 0 2)
64.91 deg, I = 17.6, (1 1 3)
75.80 deg, I = 16.4, (2 2 1)
83.60 deg, I = 22.6, (2 2 2)

***

No. 8
This entry pairs a crystal structure of DyTl2InCl6 with its theoretical XRD peak list. Radiation: Cu Ka. Structure: a PBE-relaxed structure.

Structure:
a = 7.8280 Å, b = 7.8280 Å, c = 19.8444 Å
α = 90.00°, β = 90.00°, γ = 120.00°
Space group R3 (No. 146, hexagonal axes)
Unique sites:
Dy: 0.0000 0.0000 0.0000 [3 per cell]
Tl: 0.0000 0.0000 0.2984 [3 per cell]
Tl: 0.0000 0.0000 0.7888 [3 per cell]
In: 0.0000 0.0000 0.5098 [3 per cell]
Cl: 0.0248 0.4114 0.7374 [9 per cell]
Cl: 0.0821 0.6970 0.5824 [9 per cell]

Top 10 peaks for 10° ≤ 2θ ≤ 90°, low angle first:
15.83 deg, I = 29.3, (0 1 2)
22.20 deg, I = 97.5, (1 0 4)
22.72 deg, I = 100.0, (1 1 0)
31.98 deg, I = 55.1, (0 2 4)
35.54 deg, I = 53.7, (2 -1 6)
39.59 deg, I = 51.3, (3 -1 4)
39.89 deg, I = 41.9, (3 0 0)
46.40 deg, I = 18.6, (2 2 0)
52.01 deg, I = 19.4, (1 3 4)
58.86 deg, I = 18.1, (2 1 10)

***

No. 9
This entry pairs a crystal structure of YMnZnC with its theoretical XRD peak list. Radiation: Cu Ka. Structure: a PBE-relaxed structure.

Structure:
a = 3.415 Å, b = 3.415 Å, c = 10.442 Å
α = 90.00°, β = 90.00°, γ = 90.00°
Space group P4/nmm (No. 129, origin choice 2)
Unique sites:
Y: 0.250 0.250 0.232 [2 per cell]
Mn: 0.250 0.750 0.000 [2 per cell]
Zn: 0.250 0.750 0.500 [2 per cell]
C: 0.250 0.250 0.891 [2 per cell]

Top 10 peaks for 10° ≤ 2θ ≤ 90°, low angle first:
16.98 deg, I = 9.3, (0 0 2)
27.48 deg, I = 45.6, (1 0 1)
34.35 deg, I = 36.5, (0 0 4)
36.87 deg, I = 27.0, (1 0 3)
41.18 deg, I = 100.0, (1 1 2)
53.67 deg, I = 24.9, (2 0 0)
61.34 deg, I = 9.4, (2 1 1)
65.29 deg, I = 21.0, (2 0 4)
66.19 deg, I = 20.4, (1 1 6)
89.41 deg, I = 8.7, (2 2 4)

***

No. 10
This entry pairs a crystal structure of TaP4S10Cl5 with its theoretical XRD peak list. Radiation: Cu Ka. Structure: a PBE-relaxed structure.

Structure:
a = 10.448 Å, b = 11.992 Å, c = 12.567 Å
α = 70.41°, β = 67.36°, γ = 67.28°
Space group P-1 (No. 2)
Unique sites:
Ta: 0.033 0.128 0.349 [2 per cell]
P: 0.022 0.325 0.774 [2 per cell]
P: 0.299 0.061 0.836 [2 per cell]
P: 0.307 0.347 0.835 [2 per cell]
P: 0.365 0.276 0.572 [2 per cell]
S: 0.073 0.133 0.855 [2 per cell]
S: 0.081 0.419 0.855 [2 per cell]
S: 0.140 0.348 0.592 [2 per cell]
S: 0.183 0.609 0.208 [2 per cell]
S: 0.344 0.888 0.911 [2 per cell]
S: 0.357 0.156 0.917 [2 per cell]
S: 0.358 0.433 0.910 [2 per cell]
S: 0.416 0.084 0.654 [2 per cell]
S: 0.424 0.370 0.653 [2 per cell]
S: 0.471 0.297 0.407 [2 per cell]
Cl: 0.091 0.791 0.787 [2 per cell]
Cl: 0.127 0.731 0.533 [2 per cell]
Cl: 0.135 0.009 0.526 [2 per cell]
Cl: 0.186 0.960 0.265 [2 per cell]
Cl: 0.204 0.230 0.271 [2 per cell]

Top 10 peaks for 10° ≤ 2θ ≤ 90°, low angle first:
10.08 deg, I = 100.0, (1 1 1)
14.07 deg, I = 31.8, (1 0 -1)
14.37 deg, I = 62.9, (1 -1 0)
14.61 deg, I = 45.3, (1 1 2)
15.14 deg, I = 37.0, (1 2 1)
17.00 deg, I = 35.1, (2 1 1)
17.70 deg, I = 55.8, (1 2 2)
18.55 deg, I = 57.2, (2 0 1)
19.25 deg, I = 41.8, (0 1 -2)
19.72 deg, I = 47.1, (0 2 -1)

***

No. 11
This entry pairs a crystal structure of Ce3TiAl2O9 with its theoretical XRD peak list. Radiation: Cu Ka. Structure: a PBE-relaxed structure.

Structure:
a = 5.4264 Å, b = 5.4264 Å, c = 6.6572 Å
α = 90.00°, β = 90.00°, γ = 120.00°
Space group P-3m1 (No. 164)
Unique sites:
Ce: 0.0000 0.0000 0.0000 [1 per cell]
Ce: 0.3333 0.6667 0.6677 [2 per cell]
Ti: 0.0000 0.0000 0.5000 [1 per cell]
Al: 0.3333 0.6667 0.1599 [2 per cell]
O: 0.0000 0.5000 0.0000 [3 per cell]
O: 0.1708 0.3417 0.3273 [6 per cell]

Top 10 peaks for 10° ≤ 2θ ≤ 90°, low angle first:
23.17 deg, I = 37.5, (1 0 1)
33.00 deg, I = 100.0, (1 1 0)
40.71 deg, I = 36.1, (0 2 1)
47.36 deg, I = 34.9, (2 0 2)
53.36 deg, I = 18.0, (1 1 3)
58.93 deg, I = 38.6, (3 0 0)
69.21 deg, I = 20.5, (2 2 0)
74.06 deg, I = 5.4, (0 1 5)
78.84 deg, I = 16.8, (3 1 2)
83.50 deg, I = 8.6, (2 2 3)

***

No. 12
This entry pairs a crystal structure of CsAuO3 with its theoretical XRD peak list. Radiation: Cu Ka. Structure: a PBE-relaxed structure.

Structure:
a = 4.289 Å, b = 4.289 Å, c = 4.289 Å
α = 90.00°, β = 90.00°, γ = 90.00°
Space group Pm-3m (No. 221)
Unique sites:
Cs: 0.000 0.000 0.000 [1 per cell]
Au: 0.500 0.500 0.500 [1 per cell]
O: 0.000 0.500 0.500 [3 per cell]

Top 10 peaks for 10° ≤ 2θ ≤ 90°, low angle first:
20.71 deg, I = 8.5, (1 0 0)
29.45 deg, I = 100.0, (1 1 0)
42.14 deg, I = 27.7, (2 0 0)
47.40 deg, I = 4.2, (2 1 0)
52.24 deg, I = 41.6, (2 1 1)
61.11 deg, I = 17.8, (2 2 0)
65.26 deg, I = 2.0, (3 0 0)
69.28 deg, I = 18.3, (3 1 0)
77.02 deg, I = 6.0, (2 2 2)
84.53 deg, I = 22.3, (3 2 1)